Calculated X-ray diffraction stick pattern
Compound: Ho2MnCoO6
Radiation: λ = 1.5418 Å (Cu Kα)
Structure: the GGA+U geometry in Alexandria
Intensities are scaled so that the largest is 100.

Top 10 peaks for 2θ = 5–70°, sorted by position:
d [Å]  I (rel.)  h k l
3.851  29  1 1 -1
3.678  21  0 0 2
3.428  22  1 1 0
3.396  22  1 1 -2
2.828  25  0 2 0
2.675  75  1 1 1
2.643  100  1 1 -3
2.629  38  2 0 -2
1.926  23  2 2 -2
1.839  21  0 0 4

Structural model:
Lattice parameters (Å, degrees): 5.2595 5.6552 8.9766 90.00 124.97 90.00
Element x y z (fractional)
Ho  0.2282  0.0769  0.2495
Ho  0.2282  0.4231  0.7495
Ho  0.7718  0.5769  0.2505
Ho  0.7718  0.9231  0.7505
Mn  0.5000  0.0000  0.0000
Mn  0.5000  0.5000  0.5000
Co  0.0000  0.0000  0.5000
Co  0.0000  0.5000  0.0000
O  0.1321  0.1989  0.9472
O  0.1321  0.3011  0.4472
O  0.2466  0.6851  0.9455
O  0.2466  0.8149  0.4455
O  0.3596  0.0358  0.7500
O  0.3596  0.4642  0.2500
O  0.6404  0.5358  0.7500
O  0.6404  0.9642  0.2500
O  0.7534  0.1851  0.5545
O  0.7534  0.3149  0.0545
O  0.8679  0.6989  0.5528
O  0.8679  0.8011  0.0528